Computed powder XRD pattern of Eu2BPd6 for copper Kα, from DFT lattice parameters and positions (PBE).
Peak positions follow from Bragg's law for the DFT cell and can differ from measured ones.

Largest 12 diffraction maxima, in order of rising 2θ, 10 to 90 degrees two-theta:
two_theta  Rel. int.
20.44  13
29.07  9
29.74  17
36.36  1000
41.57  357
43.54  152
51.95  7
60.25  117
61.77  211
72.45  260
75.22  112
77.23  110

Structure:
```
Eu2BPd6
1.0
4.3445 0.0000 0.0000
0.0000 4.3445 0.0000
0.0000 0.0000 8.3147
Eu B Pd
2 1 6
direct
0.0000 0.0000 0.2391
0.0000 0.0000 0.7609
0.5000 0.5000 0.5000
0.0000 0.5000 0.0000
0.0000 0.5000 0.5000
0.5000 0.0000 0.0000
0.5000 0.0000 0.5000
0.5000 0.5000 0.2442
0.5000 0.5000 0.7558
```

Computed powder XRD pattern of Sc36In5Co13 for copper Kα, from DFT lattice parameters and positions (PBE).
Peak positions follow from Bragg's law for the DFT cell and can differ from measured ones.

Largest 12 diffraction maxima, in order of rising 2θ, 10 to 90 degrees two-theta:
two_theta  Rel. int.
19.00  347
20.16  928
34.55  985
34.65  1000
36.76  399
36.84  394
37.46  589
37.60  548
38.03  751
38.55  320
41.05  610
51.07  323

Structure:
```
Sc36In5Co13
1.0
6.4429 -4.3975 0.0000
6.4429 4.3975 0.0000
-5.3665 0.0000 19.2146
Sc In Co
36 5 13
direct
0.0157 0.4426 0.7682
0.0802 0.0802 0.6362
0.0900 0.4880 0.3965
0.1035 0.1035 0.1601
0.1113 0.6816 0.1033
0.1589 0.7589 0.7275
0.1735 0.5771 0.9379
0.2111 0.6664 0.5590
0.2115 0.2115 0.5082
0.2411 0.8411 0.2725
0.2471 0.2471 0.0157
0.3184 0.8887 0.8967
0.3336 0.7889 0.4410
0.4215 0.4215 0.3201
0.4229 0.8265 0.0621
0.4374 0.4374 0.8266
0.4426 0.0157 0.7682
0.4880 0.0900 0.3965
0.5120 0.9100 0.6035
0.5574 0.9843 0.2318
0.5626 0.5626 0.1734
0.5771 0.1735 0.9379
0.5785 0.5785 0.6799
0.6664 0.2111 0.5590
0.6816 0.1113 0.1033
0.7529 0.7529 0.9843
0.7589 0.1589 0.7275
0.7885 0.7885 0.4918
0.7889 0.3336 0.4410
0.8265 0.4229 0.0621
0.8411 0.2411 0.2725
0.8887 0.3184 0.8967
0.8965 0.8965 0.8399
0.9100 0.5120 0.6035
0.9198 0.9198 0.3638
0.9843 0.5574 0.2318
0.0000 0.0000 0.0000
0.3331 0.3331 0.1674
0.3335 0.3335 0.6665
0.6665 0.6665 0.3335
0.6669 0.6669 0.8326
0.0000 0.0000 0.5000
0.0854 0.0854 0.7952
0.1224 0.1224 0.3777
0.2110 0.2110 0.2897
0.2472 0.2472 0.8719
0.4229 0.4229 0.4600
0.4552 0.4552 0.0438
0.5448 0.5448 0.9562
0.5771 0.5771 0.5400
0.7528 0.7528 0.1281
0.7890 0.7890 0.7103
0.8776 0.8776 0.6223
0.9146 0.9146 0.2048
```

Computed powder XRD pattern of ScAl3C3 for copper Kα, from DFT lattice parameters and positions (PBE).
Peak positions follow from Bragg's law for the DFT cell and can differ from measured ones.

Largest 12 diffraction maxima, in order of rising 2θ, 10 to 90 degrees two-theta:
two_theta  Rel. int.
10.54  141
32.53  1000
34.71  161
37.58  634
41.02  487
43.11  326
44.92  488
54.55  679
64.02  136
64.97  116
70.46  97
71.95  397

Structure:
```
ScAl3C3
1.0
3.3643 0.0000 0.0000
-1.6821 2.9135 0.0000
0.0000 0.0000 16.7856
Sc Al C
2 6 6
direct
0.0000 0.0000 0.0000
0.0000 0.0000 0.5000
0.3333 0.6667 0.1288
0.3333 0.6667 0.3706
0.3333 0.6667 0.7555
0.6667 0.3333 0.2555
0.6667 0.3333 0.6288
0.6667 0.3333 0.8706
0.3333 0.6667 0.2490
0.3333 0.6667 0.5827
0.3333 0.6667 0.9093
0.6667 0.3333 0.0827
0.6667 0.3333 0.4093
0.6667 0.3333 0.7490
```